For BaCoAs2O7, a DFT-relaxed cell (GGA+U, OQMD) gives the calculated powder XRD pattern in this record (Cu Kα (λ = 1.5418 Å)).
Lines closer than 0.1° are merged.

Atomic structure:
```
data_BaCoAs2O7
_symmetry_space_group_name_H-M 'P -1'
_symmetry_Int_Tables_number 2
_cell_length_a 5.535
_cell_length_b 7.304
_cell_length_c 7.731
_cell_angle_alpha 101.52
_cell_angle_beta 91.72
_cell_angle_gamma 96.25
loop_
_symmetry_equiv_pos_as_xyz
'x,y,z'
'-x,-y,-z'
loop_
_atom_site_label
_atom_site_fract_x
_atom_site_fract_y
_atom_site_fract_z
Ba1 0.196 0.275 0.424
Co1 0.186 0.120 0.894
As1 0.296 0.676 0.899
As2 0.310 0.774 0.304
O1 0.066 0.900 0.307
O2 0.091 0.841 0.909
O3 0.208 0.479 0.751
O4 0.276 0.599 0.105
O5 0.300 0.656 0.471
O6 0.414 0.218 0.105
O7 0.420 0.089 0.693
```

The 10 most intense peaks (5 to 70 degrees two-theta), most intense first:
hkl 1 0 2, 2θ = 29.38°, rel. 100; hkl 1 -2 1, 2θ = 28.95°, rel. 69; hkl 0 2 0, 2θ = 25.06°, rel. 68; hkl 2 0 0, 2θ = 32.59°, rel. 47; hkl 1 0 -2, 2θ = 27.92°, rel. 46; hkl 1 1 -1, 2θ = 22.89°, rel. 37; hkl 0 1 -3, 2θ = 35.26°, rel. 35; hkl 0 2 1, 2θ = 29.88°, rel. 33; hkl 2 -1 0, 2θ = 33.56°, rel. 32; hkl 1 2 -1, 2θ = 31.51°, rel. 30